[1]
For BaSc6Ni4O15, the GGA+U geometry in the Materials Project gives the theoretical powder XRD pattern in this record (CuKα).
Intensities are scaled so that the largest is 100.

Largest 10 diffraction maxima, in order of rising 2θ, 10 to 90 degrees two-theta:
2θ = 22.4°, d = 3.967 Å, I 60, (2 2 0); 2θ = 25.7°, d = 3.469 Å, I 72, (3 1 1); 2θ = 27.8°, d = 3.214 Å, I 68, (1 3 1); 2θ = 29.7°, d = 3.009 Å, I 100, (1 1 3); 2θ = 30.3°, d = 2.954 Å, I 65, (3 1 2); 2θ = 39.3°, d = 2.290 Å, I 90, (4 2 2); 2θ = 40.0°, d = 2.256 Å, I 60, (2 0 4); 2θ = 44.7°, d = 2.028 Å, I 86, (4 2 3); 2θ = 51.4°, d = 1.777 Å, I 75, (4 2 4); 2θ = 60.7°, d = 1.525 Å, I 71, (4 6 0)

Crystal structure
Unit cell a=11.878 b=10.660 c=9.756 alpha=90.00 beta=90.00 gamma=90.00
Space group Cmce (No. 64)
Asymmetric unit:
Ba 0.000 0.000 0.000 x4
Sc 0.000 0.187 0.361 x8
Sc 0.133 0.086 0.645 x16
Ni 0.242 0.163 0.117 x16
O 0.000 0.000 0.500 x4
O 0.000 0.147 0.762 x8
O 0.130 0.089 0.255 x16
O 0.130 0.233 0.502 x16
O 0.249 0.000 0.000 x8
O 0.250 0.190 0.750 x8

[2]
For BaSc8Ni2O15, the GGA+U geometry in the Materials Project gives the theoretical powder XRD pattern in this record (CuKα).
Intensities are scaled so that the largest is 100.

Largest 10 diffraction maxima, in order of rising 2θ, 10 to 90 degrees two-theta:
2θ = 25.3°, d = 3.526 Å, I 57, (3 1 1); 2θ = 27.3°, d = 3.262 Å, I 50, (1 3 1); 2θ = 29.5°, d = 3.029 Å, I 100, (4 0 0); 2θ = 29.8°, d = 2.993 Å, I 49, (3 1 2); 2θ = 38.0°, d = 2.371 Å, I 39, (0 4 2); 2θ = 38.7°, d = 2.325 Å, I 69, (4 2 2); 2θ = 44.1°, d = 2.054 Å, I 64, (4 2 3); 2θ = 50.8°, d = 1.797 Å, I 48, (4 2 4); 2θ = 59.7°, d = 1.550 Å, I 50, (4 6 0); 2θ = 61.3°, d = 1.512 Å, I 40, (8 0 0)

Crystal structure
Unit cell a=12.097 b=10.831 c=9.808 alpha=90.00 beta=90.00 gamma=90.00
Space group Cmc2_1 (No. 36)
Asymmetric unit:
Ba 0.000 0.235 0.000 x4
Sc 0.000 0.063 0.352 x4
Sc 0.000 0.436 0.625 x4
Sc 0.130 0.333 0.343 x8
Sc 0.132 0.164 0.637 x8
Sc 0.238 0.413 0.874 x8
Ni 0.243 0.088 0.100 x8
O 0.000 0.101 0.752 x4
O 0.000 0.250 0.486 x4
O 0.000 0.398 0.224 x4
O 0.126 0.483 0.482 x8
O 0.128 0.016 0.492 x8
O 0.128 0.338 0.729 x8
O 0.129 0.159 0.245 x8
O 0.245 0.248 0.487 x8
O 0.248 0.431 0.239 x8

[3]
For BaSm2NiO5, the GGA+U geometry in the Materials Project gives the theoretical powder XRD pattern in this record (CuKα).
Intensities are scaled so that the largest is 100.

Largest 10 diffraction maxima, in order of rising 2θ, 10 to 90 degrees two-theta:
2θ = 27.4°, d = 3.254 Å, I 32, (0 1 3); 2θ = 30.2°, d = 2.961 Å, I 31, (0 2 0); 2θ = 30.6°, d = 2.921 Å, I 11, (0 0 4); 2θ = 31.7°, d = 2.821 Å, I 100, (1 1 2); 2θ = 39.2°, d = 2.299 Å, I 13, (1 2 1); 2θ = 43.5°, d = 2.079 Å, I 16, (0 2 4); 2θ = 45.4°, d = 1.996 Å, I 15, (1 0 5); 2θ = 47.4°, d = 1.920 Å, I 15, (2 0 0); 2θ = 54.6°, d = 1.681 Å, I 22, (1 3 2); 2θ = 55.5°, d = 1.654 Å, I 25, (1 2 5)

Crystal structure
Unit cell a=3.839 b=5.921 c=11.684 alpha=90.00 beta=90.00 gamma=90.00
Space group Immm (No. 71)
Asymmetric unit:
Ba 0.000 0.000 0.000 x2
Sm 0.000 0.500 0.203 x4
Ni 0.000 0.000 0.500 x2
O 0.000 0.241 0.353 x8
O 0.000 0.500 0.000 x2